For Li2Mn2Si4O11, the PBE+U geometry in the Materials Project gives the computed XRD peak list in this record (λ = 1.5418 Å (Cu Kα)).
Intensities are scaled so that the largest is 100.

Atomic structure:
abc: 7.076 7.699 9.767
angles: 97.82 101.83 111.23
Positions (direct):
Li1 0.094 0.409 0.059
Li2 0.385 0.610 0.946
Li3 0.615 0.390 0.054
Li4 0.906 0.591 0.941
Mn1 0.109 0.659 0.714
Mn2 0.332 0.213 0.259
Mn3 0.668 0.787 0.741
Mn4 0.891 0.341 0.286
Si1 0.046 0.769 0.261
Si2 0.217 0.029 0.901
Si3 0.248 0.371 0.553
Si4 0.476 0.780 0.263
Si5 0.524 0.220 0.737
Si6 0.752 0.629 0.447
Si7 0.783 0.971 0.099
Si8 0.954 0.231 0.739
O1 0.008 0.065 0.809
O2 0.021 0.253 0.589
O3 0.066 0.438 0.850
O4 0.124 0.809 0.911
O5 0.189 0.352 0.379
O6 0.306 0.867 0.305
O7 0.343 0.592 0.649
O8 0.345 0.187 0.050
O9 0.357 0.035 0.782
O10 0.380 0.592 0.137
O11 0.401 0.255 0.586
O12 0.599 0.745 0.414
O13 0.620 0.408 0.863
O14 0.643 0.965 0.218
O15 0.655 0.813 0.950
O16 0.657 0.408 0.351
O17 0.694 0.133 0.695
O18 0.811 0.648 0.621
O19 0.876 0.191 0.089
O20 0.934 0.562 0.150
O21 0.979 0.747 0.411
O22 0.992 0.935 0.191

Principal peaks in the range 2θ from 10° to 90°, sorted by position:
2θ = 13.99°, rel. 52; 2θ = 19.08°, rel. 100; 2θ = 24.72°, rel. 39; 2θ = 24.85°, rel. 37; 2θ = 29.18°, rel. 53; 2θ = 29.35°, rel. 51

=====

For Al2FeP2O16, the PBE+U geometry in the Materials Project gives the computed XRD peak list in this record (λ = 1.5418 Å (Cu Kα)).
Intensities are scaled so that the largest is 100.

Atomic structure:
abc: 6.127 9.002 11.089
angles: 103.32 97.09 92.64
Positions (direct):
Al1 0.000 0.000 0.000
Al2 0.186 0.196 0.811
Al3 0.500 0.500 0.000
Al4 0.814 0.804 0.189
Fe1 0.000 0.500 0.000
Fe2 0.000 0.500 0.500
P1 0.207 0.497 0.760
P2 0.306 0.814 0.135
P3 0.694 0.186 0.865
P4 0.793 0.503 0.240
O1 0.011 0.544 0.834
O2 0.106 0.018 0.852
O3 0.127 0.832 0.225
O4 0.152 0.908 0.567
O5 0.179 0.321 0.700
O6 0.182 0.197 0.086
O7 0.193 0.577 0.648
O8 0.235 0.350 0.957
O9 0.250 0.273 0.353
O10 0.252 0.905 0.035
O11 0.268 0.430 0.410
O12 0.291 0.639 0.067
O13 0.317 0.886 0.514
O14 0.366 0.233 0.268
O15 0.429 0.542 0.844
O16 0.465 0.141 0.791
O17 0.535 0.859 0.209
O18 0.571 0.458 0.156
O19 0.634 0.767 0.732
O20 0.683 0.114 0.486
O21 0.709 0.361 0.933
O22 0.732 0.570 0.590
O23 0.748 0.095 0.965
O24 0.750 0.727 0.647
O25 0.765 0.650 0.043
O26 0.807 0.423 0.352
O27 0.818 0.803 0.914
O28 0.821 0.679 0.300
O29 0.848 0.092 0.433
O30 0.873 0.168 0.775
O31 0.894 0.982 0.148
O32 0.989 0.456 0.166

Principal peaks in the range 2θ from 10° to 90°, sorted by position:
2θ = 10.13°, rel. 100; 2θ = 14.60°, rel. 67; 2θ = 17.27°, rel. 62; 2θ = 26.05°, rel. 35; 2θ = 30.71°, rel. 32; 2θ = 34.71°, rel. 31

=====

For Rb2BiPWO8, the PBE+U geometry in the Materials Project gives the computed XRD peak list in this record (λ = 1.5418 Å (Cu Kα)).
Intensities are scaled so that the largest is 100.

Atomic structure:
abc: 12.719 12.719 12.719
angles: 147.19 120.19 69.92
Positions (direct):
Rb1 0.076 0.691 0.452
Rb2 0.239 0.191 0.116
Rb3 0.261 0.376 0.952
Rb4 0.424 0.876 0.616
Rb5 0.576 0.124 0.384
Rb6 0.739 0.624 0.048
Rb7 0.761 0.809 0.884
Rb8 0.924 0.309 0.548
Bi1 0.166 0.750 0.916
Bi2 0.334 0.250 0.584
Bi3 0.666 0.750 0.416
Bi4 0.834 0.250 0.084
P1 0.073 0.250 0.323
P2 0.427 0.750 0.177
P3 0.573 0.250 0.823
P4 0.927 0.750 0.677
W1 0.087 0.837 0.250
W2 0.413 0.663 0.750
W3 0.587 0.337 0.250
W4 0.913 0.163 0.750
O1 0.058 0.333 0.274
O2 0.060 0.833 0.775
O3 0.073 0.148 0.796
O4 0.101 0.684 0.012
O5 0.140 0.408 0.568
O6 0.149 0.723 0.296
O7 0.160 0.092 0.232
O8 0.172 0.089 0.488
O9 0.328 0.816 0.917
O10 0.340 0.572 0.932
O11 0.351 0.648 0.574
O12 0.360 0.928 0.268
O13 0.399 0.411 0.583
O14 0.427 0.223 0.074
O15 0.440 0.216 0.774
O16 0.442 0.716 0.275
O17 0.558 0.284 0.725
O18 0.560 0.784 0.226
O19 0.573 0.777 0.926
O20 0.601 0.589 0.417
O21 0.640 0.072 0.732
O22 0.649 0.352 0.426
O23 0.660 0.428 0.068
O24 0.672 0.184 0.083
O25 0.828 0.911 0.512
O26 0.840 0.908 0.768
O27 0.851 0.277 0.704
O28 0.860 0.592 0.432
O29 0.899 0.316 0.988
O30 0.927 0.852 0.204
O31 0.940 0.167 0.225
O32 0.942 0.667 0.726

Principal peaks in the range 2θ from 10° to 90°, sorted by position:
2θ = 22.66°, rel. 38; 2θ = 25.64°, rel. 82; 2θ = 25.91°, rel. 100; 2θ = 26.24°, rel. 82; 2θ = 29.91°, rel. 52; 2θ = 30.22°, rel. 52

=====

For Sr2TbNiO6, the PBE+U geometry in the Materials Project gives the computed XRD peak list in this record (λ = 1.5418 Å (Cu Kα)).
Intensities are scaled so that the largest is 100.

Atomic structure:
abc: 5.727 5.727 5.727
angles: 60.00 60.00 60.00
Positions (direct):
Sr1 0.250 0.250 0.250
Sr2 0.750 0.750 0.750
Tb1 0.000 0.000 0.000
Ni1 0.500 0.500 0.500
O1 0.271 0.271 0.729
O2 0.271 0.729 0.271
O3 0.271 0.729 0.729
O4 0.729 0.271 0.271
O5 0.729 0.271 0.729
O6 0.729 0.729 0.271

Principal peaks in the range 2θ from 10° to 90°, sorted by position:
2θ = 18.98°, rel. 10; 2θ = 31.23°, rel. 100; 2θ = 44.76°, rel. 32; 2θ = 55.59°, rel. 39; 2θ = 65.15°, rel. 19; 2θ = 74.02°, rel. 18

=====

For Ba3Lu2MoO9, the PBE+U geometry in the Materials Project gives the computed XRD peak list in this record (λ = 1.5418 Å (Cu Kα)).
Intensities are scaled so that the largest is 100.

Atomic structure:
abc: 6.009 6.009 7.359
angles: 90.00 90.00 120.00
Positions (direct):
Ba1 0.000 0.000 0.000
Ba2 0.333 0.667 0.677
Ba3 0.667 0.333 0.323
Lu1 0.333 0.667 0.163
Lu2 0.667 0.333 0.837
Mo1 0.000 0.000 0.500
O1 0.000 0.500 0.000
O2 0.155 0.310 0.348
O3 0.155 0.845 0.348
O4 0.310 0.155 0.652
O5 0.500 0.000 0.000
O6 0.500 0.500 0.000
O7 0.690 0.845 0.348
O8 0.845 0.155 0.652
O9 0.845 0.690 0.652

Principal peaks in the range 2θ from 10° to 90°, sorted by position:
2θ = 29.74°, rel. 100; 2θ = 42.56°, rel. 29; 2θ = 52.78°, rel. 40; 2θ = 61.76°, rel. 18; 2θ = 70.03°, rel. 18; 2θ = 85.52°, rel. 22

=====

Number 4 is which compound? Sr2TbNiO6

=====

Please write out number 3 again, unchanged.
For Rb2BiPWO8, the PBE+U geometry in the Materials Project gives the computed XRD peak list in this record (λ = 1.5418 Å (Cu Kα)).
Intensities are scaled so that the largest is 100.

Atomic structure:
abc: 12.719 12.719 12.719
angles: 147.19 120.19 69.92
Positions (direct):
Rb1 0.076 0.691 0.452
Rb2 0.239 0.191 0.116
Rb3 0.261 0.376 0.952
Rb4 0.424 0.876 0.616
Rb5 0.576 0.124 0.384
Rb6 0.739 0.624 0.048
Rb7 0.761 0.809 0.884
Rb8 0.924 0.309 0.548
Bi1 0.166 0.750 0.916
Bi2 0.334 0.250 0.584
Bi3 0.666 0.750 0.416
Bi4 0.834 0.250 0.084
P1 0.073 0.250 0.323
P2 0.427 0.750 0.177
P3 0.573 0.250 0.823
P4 0.927 0.750 0.677
W1 0.087 0.837 0.250
W2 0.413 0.663 0.750
W3 0.587 0.337 0.250
W4 0.913 0.163 0.750
O1 0.058 0.333 0.274
O2 0.060 0.833 0.775
O3 0.073 0.148 0.796
O4 0.101 0.684 0.012
O5 0.140 0.408 0.568
O6 0.149 0.723 0.296
O7 0.160 0.092 0.232
O8 0.172 0.089 0.488
O9 0.328 0.816 0.917
O10 0.340 0.572 0.932
O11 0.351 0.648 0.574
O12 0.360 0.928 0.268
O13 0.399 0.411 0.583
O14 0.427 0.223 0.074
O15 0.440 0.216 0.774
O16 0.442 0.716 0.275
O17 0.558 0.284 0.725
O18 0.560 0.784 0.226
O19 0.573 0.777 0.926
O20 0.601 0.589 0.417
O21 0.640 0.072 0.732
O22 0.649 0.352 0.426
O23 0.660 0.428 0.068
O24 0.672 0.184 0.083
O25 0.828 0.911 0.512
O26 0.840 0.908 0.768
O27 0.851 0.277 0.704
O28 0.860 0.592 0.432
O29 0.899 0.316 0.988
O30 0.927 0.852 0.204
O31 0.940 0.167 0.225
O32 0.942 0.667 0.726

Principal peaks in the range 2θ from 10° to 90°, sorted by position:
2θ = 22.66°, rel. 38; 2θ = 25.64°, rel. 82; 2θ = 25.91°, rel. 100; 2θ = 26.24°, rel. 82; 2θ = 29.91°, rel. 52; 2θ = 30.22°, rel. 52